Entry 1:
Starting from a DFT-relaxed cell (PBE, the Materials Project), the powder X-ray diffraction pattern of MoS2 was computed for a wavelength of 1.5418 Å.
Neutral-atom scattering factors, no anomalous dispersion.

Crystal structure
```
MoS2
1.0
3.1630 0.0000 0.0000
0.0000 13.0210 0.0000
0.0000 0.0000 43.4765
Mo S
18 36
Cartesian
0.7907 3.2552 0.4688
0.7907 3.2552 6.0278
0.7907 3.2552 11.4252
0.7907 3.2552 32.8561
0.7907 3.2552 38.3976
0.7907 9.7657 2.3057
0.7907 9.7657 7.8449
0.7907 9.7657 34.6478
0.7907 9.7657 40.2300
2.3722 3.2552 3.2466
2.3722 3.2552 8.8287
2.3722 3.2552 35.6316
2.3722 3.2552 41.1708
2.3722 9.7657 5.0789
2.3722 9.7657 10.6204
2.3722 9.7657 32.0514
2.3722 9.7657 37.4487
2.3722 9.7657 43.0077
0.7907 1.6870 2.3156
0.7907 1.6931 7.8797
0.7907 1.6898 34.6964
0.7907 1.6867 40.2414
0.7907 4.8235 2.3156
0.7907 4.8173 7.8797
0.7907 4.8207 34.6964
0.7907 4.8237 40.2414
0.7907 8.1325 32.7902
0.7907 8.1959 6.0078
0.7907 8.1971 0.4605
0.7907 8.1999 38.3797
0.7907 8.2585 11.6008
0.7907 11.2730 11.6008
0.7907 11.3343 0.4605
0.7907 11.3316 38.3797
0.7907 11.3356 6.0078
0.7907 11.3990 32.7902
2.3722 1.6220 10.6864
2.3722 1.6854 37.4687
2.3722 1.6894 5.0968
2.3722 1.6867 43.0160
2.3722 1.7480 31.8757
2.3722 4.7625 31.8757
2.3722 4.8211 5.0968
2.3722 4.8238 43.0160
2.3722 4.8251 37.4687
2.3722 4.8885 10.6864
2.3722 8.1972 3.2351
2.3722 8.2003 8.7801
2.3722 8.2036 35.5968
2.3722 8.1975 41.1609
2.3722 11.3342 3.2351
2.3722 11.3312 8.7801
2.3722 11.3278 35.5968
2.3722 11.3339 41.1609
```

The 8 most intense peaks (10 to 80 degrees two-theta), low angle first:
d 6.510, I = 100; d 6.439, I = 57; d 2.734, I = 15; d 2.410, I = 13; d 2.364, I = 20; d 2.313, I = 39; d 2.303, I = 18; d 1.886, I = 23

Entry 2:
Starting from a DFT-relaxed cell (PBE, the Materials Project), the powder X-ray diffraction pattern of Kr was computed for a wavelength of 1.5418 Å.
Neutral-atom scattering factors, no anomalous dispersion.

Crystal structure
```
Kr
1.0
4.4688 0.0000 0.0000
-2.2344 3.8701 0.0000
0.0000 0.0000 15.0549
Kr
4
Cartesian
0.0000 0.0000 0.0000
0.0000 0.0000 7.5275
0.0000 2.5801 3.7637
2.2344 1.2900 11.2912
```

The 8 most intense peaks (10 to 80 degrees two-theta), low angle first:
d 3.756, I = 79; d 3.442, I = 100; d 3.065, I = 24; d 2.234, I = 26; d 2.105, I = 25; d 1.921, I = 39; d 1.874, I = 17; d 1.439, I = 15

Entry 3:
Starting from a DFT-relaxed cell (PBE, the Materials Project), the powder X-ray diffraction pattern of Pm2SiAg was computed for a wavelength of 1.5418 Å.
Neutral-atom scattering factors, no anomalous dispersion.

Crystal structure
```
Pm2SiAg
1.0
7.3312 0.0000 0.0000
0.0000 7.3312 0.0000
0.0000 0.0000 7.3312
Pm Si Ag
8 4 4
Cartesian
1.8328 1.8328 1.8328
1.8328 1.8328 5.4984
1.8328 5.4984 1.8328
1.8328 5.4984 5.4984
5.4984 1.8328 1.8328
5.4984 1.8328 5.4984
5.4984 5.4984 1.8328
5.4984 5.4984 5.4984
0.0000 0.0000 0.0000
0.0000 3.6656 3.6656
3.6656 0.0000 3.6656
3.6656 3.6656 0.0000
0.0000 0.0000 3.6656
0.0000 3.6656 0.0000
3.6656 0.0000 0.0000
3.6656 3.6656 3.6656
```

The 8 most intense peaks (10 to 80 degrees two-theta), low angle first:
d 4.233, I = 9; d 3.666, I = 15; d 2.592, I = 100; d 2.210, I = 5; d 1.833, I = 18; d 1.639, I = 7; d 1.496, I = 36; d 1.296, I = 11

Entry 4:
Starting from a DFT-relaxed cell (PBE, the Materials Project), the powder X-ray diffraction pattern of KNaHf4P6O24 was computed for a wavelength of 1.5418 Å.
Neutral-atom scattering factors, no anomalous dispersion.

Crystal structure
```
KNaHf4P6O24
1.0
4.4264 2.5556 7.7375
-4.4264 2.5556 7.7375
0.0000 -5.1111 7.7375
K Na Hf P O
1 1 4 6 24
Cartesian
0.0000 0.0000 0.0000
0.0000 0.0000 11.6063
0.0000 0.0000 3.4119
0.0000 0.0000 8.2042
0.0000 0.0000 15.0083
0.0000 0.0000 19.8007
-3.1211 -0.3278 9.6812
-1.2767 -2.8668 13.5314
1.8444 -2.5391 9.6812
-1.8444 2.5391 13.5314
1.2767 2.8668 9.6812
3.1211 0.3278 13.5314
-3.4283 -1.1794 10.9299
-3.7514 1.0709 9.8515
-2.8031 -2.7134 13.3610
-0.7331 -1.5547 7.0625
-0.6928 -3.5587 12.2826
-1.5900 -0.1610 9.5527
0.9483 -3.7842 9.8515
-0.9798 1.4122 7.0625
-2.7355 2.3793 12.2826
-0.6556 -1.4575 13.6598
0.9344 -1.2965 9.5527
-1.7129 -0.1425 16.1501
1.7129 0.1425 7.0625
-0.9344 1.2965 13.6598
0.6556 1.4575 9.5527
2.7355 -2.3793 10.9299
0.9799 -1.4122 16.1501
-0.9483 3.7842 13.3610
1.5900 0.1610 13.6598
0.6928 3.5587 10.9299
0.7331 1.5547 16.1501
2.8031 2.7134 9.8515
3.7514 -1.0709 13.3610
3.4283 1.1793 12.2826
```

The 8 most intense peaks (10 to 80 degrees two-theta), low angle first:
d 4.627, I = 71; d 4.426, I = 100; d 3.842, I = 24; d 3.199, I = 38; d 2.913, I = 64; d 2.592, I = 26; d 2.556, I = 33; d 1.921, I = 22

Entry 5:
Starting from a DFT-relaxed cell (PBE, the Materials Project), the powder X-ray diffraction pattern of TmGaO3 was computed for a wavelength of 1.5418 Å.
Neutral-atom scattering factors, no anomalous dispersion.

Crystal structure
```
TmGaO3
1.0
3.4945 0.0000 0.0000
-1.7472 3.0263 0.0000
0.0000 0.0000 11.7039
Tm Ga O
2 2 6
Cartesian
0.0000 0.0000 0.0000
0.0000 0.0000 5.8520
0.0000 2.0175 2.9260
1.7472 1.0088 8.7779
0.0000 0.0000 2.9260
0.0000 0.0000 8.7779
0.0000 2.0175 1.0069
0.0000 2.0175 4.8451
1.7472 1.0088 6.8589
1.7472 1.0088 10.6970
```

The 8 most intense peaks (10 to 80 degrees two-theta), low angle first:
d 5.852, I = 29; d 3.026, I = 36; d 2.928, I = 62; d 2.688, I = 100; d 2.104, I = 37; d 1.747, I = 35; d 1.640, I = 29; d 1.500, I = 33

Entry 6:
Starting from a DFT-relaxed cell (PBE, the Materials Project), the powder X-ray diffraction pattern of TlIn3S5 was computed for a wavelength of 1.5418 Å.
Neutral-atom scattering factors, no anomalous dispersion.

Crystal structure
```
TlIn3S5
1.0
10.3137 -1.9465 0.0000
10.3137 1.9465 0.0000
-6.7634 0.0000 11.1465
Tl In S
2 6 10
Cartesian
2.8710 0.0000 3.3937
10.9930 0.0000 7.7528
0.0000 0.0000 0.0000
-3.3817 0.0000 5.5732
6.2890 0.0000 1.0961
4.6421 0.0000 7.7411
9.2220 0.0000 3.4053
7.5751 0.0000 10.0504
-4.5249 0.0000 9.8801
-0.6781 0.0000 5.0122
-0.9514 0.0000 9.7069
2.7796 0.0000 9.4107
6.6700 0.0000 3.8366
7.1940 0.0000 7.3099
11.0844 0.0000 1.7357
14.8154 0.0000 1.4395
14.5422 0.0000 6.1343
18.3889 0.0000 1.2664
```

The 8 most intense peaks (10 to 80 degrees two-theta), low angle first:
d 4.409, I = 53; d 4.064, I = 56; d 3.888, I = 66; d 3.237, I = 98; d 2.989, I = 64; d 2.901, I = 100; d 2.378, I = 50; d 2.345, I = 58

Entry 7:
Starting from a DFT-relaxed cell (PBE, the Materials Project), the powder X-ray diffraction pattern of SrB2S4 was computed for a wavelength of 1.5418 Å.
Neutral-atom scattering factors, no anomalous dispersion.

Crystal structure
```
SrB2S4
1.0
4.3525 2.5129 7.4294
-4.3525 2.5129 7.4294
0.0000 -5.0258 7.4294
Sr B S
3 6 12
Cartesian
0.0000 0.0000 0.0000
0.0000 0.0000 4.2547
0.0000 0.0000 18.0335
-0.6558 -1.6235 9.3384
-1.7339 -0.2438 12.9498
-1.0781 1.3797 9.3384
1.0781 -1.3797 12.9498
1.7339 0.2438 9.3384
0.6558 1.6235 12.9498
-1.4190 -3.2430 9.4931
-3.5180 -0.3926 12.7951
-1.8547 -0.2590 9.2576
-2.0990 2.8504 9.4931
-0.7031 -1.7357 13.0305
1.1516 -1.4767 9.2576
-1.1516 1.4767 13.0305
0.7031 1.7357 9.2576
2.0990 -2.8504 12.7951
1.8547 0.2590 13.0305
3.5180 0.3926 9.4931
1.4190 3.2430 12.7951
```

The 8 most intense peaks (10 to 80 degrees two-theta), low angle first:
d 7.141, I = 28; d 3.837, I = 81; d 3.715, I = 31; d 2.878, I = 28; d 2.826, I = 100; d 2.761, I = 51; d 2.537, I = 52; d 1.645, I = 27